Entry 1:
This entry pairs a crystal structure of Mg2Ga13 with its calculated X-ray powder pattern. Radiation: copper Kα. Structure: a DFT-relaxed cell (PBE, Alexandria).
Kinematic intensities with the Lorentz-polarization factor, no thermal factor.

Top 10 peaks for 10 to 90 degrees two-theta, in order of falling intensity:
| 2θ/deg | intensity |
| --- | --- |
| 27.3 | 100 |
| 43.5 | 94 |
| 41.1 | 94 |
| 23.7 | 38 |
| 42.0 | 36 |
| 37.1 | 34 |
| 44.2 | 28 |
| 67.8 | 23 |
| 74.2 | 21 |
| 64.5 | 20 |

Atomic structure:
```
15
Lattice="3.835 2.214 6.067 -3.835 2.214 6.067 0.000 -4.428 6.067" Properties=species:S:1:pos:R:3 pbc="T T T"
Mg 0.000 0.000 4.348
Mg 0.000 0.000 13.854
Ga 0.000 -2.829 4.186
Ga -2.450 1.414 4.186
Ga 0.000 -1.655 6.715
Ga -1.433 0.827 6.715
Ga -2.450 -1.414 14.016
Ga -1.433 -0.827 11.486
Ga 0.000 0.000 9.101
Ga 1.433 0.827 6.715
Ga 2.450 1.414 4.186
Ga 1.433 -0.827 11.486
Ga 0.000 1.655 11.486
Ga 2.450 -1.414 14.016
Ga 0.000 2.829 14.016
```



Entry 2:
This entry pairs a crystal structure of Na2MgCrCl6 with its calculated X-ray powder pattern. Radiation: copper Kα. Structure: a DFT-relaxed cell (PBE, Alexandria).
Kinematic intensities with the Lorentz-polarization factor, no thermal factor.

Top 10 peaks for 10 to 90 degrees two-theta, in order of falling intensity:
| 2θ/deg | intensity |
| --- | --- |
| 30.7 | 100 |
| 41.0 | 51 |
| 18.3 | 48 |
| 37.1 | 42 |
| 46.7 | 33 |
| 54.5 | 17 |
| 25.5 | 16 |
| 46.1 | 12 |
| 41.3 | 12 |
| 82.8 | 11 |

Atomic structure:
```
10
Lattice="3.366 1.944 5.828 -3.366 1.944 5.828 0.000 -3.887 5.828" Properties=species:S:1:pos:R:3 pbc="T T T"
Na 0.000 0.000 0.000
Na 0.000 0.000 8.727
Mg 0.000 0.000 3.630
Cr 0.000 0.000 12.349
Cl -2.644 0.028 7.890
Cl -0.729 -1.893 10.810
Cl 1.298 -2.304 7.890
Cl -1.275 1.578 10.810
Cl 1.347 2.276 7.890
Cl 2.004 0.315 10.809
```